# Y2Br3
Calculated PXRD pattern, Cu Kα, 1.54184 Å. Input: a structure optimized by DFT (PBE).
No peak broadening, texture or thermal motion is included.

Peak list (10 most intense, 2θ = 15–90°, in order of rising 2θ)
two_theta, intensity
26.5, 44
27.2, 33
28.1, 45
31.7, 50
32.3, 100
36.1, 38
39.6, 31
42.6, 46
43.1, 32
46.3, 33

Atomic structure:
```
Y2Br3
1.0
8.9336 -1.9602 0.0000
8.9336 1.9602 0.0000
-6.1575 0.0000 9.3935
Y Br
4 6
direct
0.0739 0.0739 0.4573
0.3647 0.3647 0.2154
0.6353 0.6353 0.7846
0.9261 0.9261 0.5427
0.1655 0.1655 0.0061
0.2843 0.2843 0.3794
0.4646 0.4646 0.7602
0.5354 0.5354 0.2398
0.7157 0.7157 0.6206
0.8345 0.8345 0.9939
```